(1)
CeOs2: calculated powder X-ray diffraction pattern (λ = 1.5418 Å (Cu Kα)), based on a GGA-PBE-relaxed structure.

Largest 8 diffraction maxima, sorted by position, 2θ from 5° to 70°:
d 2.464, 2θ = 36.5°, rel. 51, (1 0 6)
d 2.301, 2θ = 39.1°, rel. 100, (1 1 4)
d 2.269, 2θ = 39.7°, rel. 81, (2 0 2)
d 2.178, 2θ = 41.5°, rel. 30, (2 0 3)
d 2.170, 2θ = 41.6°, rel. 23, (0 0 8)
d 1.474, 2θ = 63.1°, rel. 25, (3 0 4)
d 1.396, 2θ = 67.0°, rel. 24, (2 0 10)
d 1.357, 2θ = 69.2°, rel. 32, (2 2 0)

Structural model:
```
data_CeOs2
_chemical_formula_sum 'Ce8 Os16'
_symmetry_space_group_name_H-M 'P 63/m m c'
_symmetry_Int_Tables_number 194
_symmetry_space_group_name_Hall '-P 6c 2c'
_cell_length_a 5.4278
_cell_length_b 5.4278
_cell_length_c 17.3614
_cell_angle_alpha 90.00
_cell_angle_beta 90.00
_cell_angle_gamma 120.00
loop_
_atom_site_label
_atom_site_fract_x
_atom_site_fract_y
_atom_site_fract_z
Ce1 0.0000 0.0000 0.0884
Ce2 0.3333 0.6667 0.1564
Os1 0.0000 0.5000 0.0000
Os2 0.1616 0.3232 0.7500
Os3 0.3333 0.6667 0.6270
```

=====

(2)
Hg4Sb2I2Cl: calculated powder X-ray diffraction pattern (λ = 1.5418 Å (Cu Kα)), based on a GGA-PBE-relaxed structure.

Largest 8 diffraction maxima, sorted by position, 2θ from 5° to 70°:
d 4.446, 2θ = 20.0°, rel. 72, (0 0 2)
d 3.397, 2θ = 26.2°, rel. 70, (3 1 -1)
d 3.325, 2θ = 26.8°, rel. 62, (4 0 0)
d 2.869, 2θ = 31.2°, rel. 100, (3 1 -3)
d 2.696, 2θ = 33.2°, rel. 30, (5 1 -2)
d 2.157, 2θ = 41.9°, rel. 26, (7 1 -3)
d 2.112, 2θ = 42.8°, rel. 41, (3 1 2)
d 2.107, 2θ = 42.9°, rel. 28, (0 2 0)

Structural model:
```
data_Hg4Sb2I2Cl
_chemical_formula_sum 'Hg8 Sb4 I4 Cl2'
_symmetry_space_group_name_H-M 'C 1 2/m 1'
_symmetry_Int_Tables_number 12
_cell_length_a 17.5797
_cell_length_b 4.2147
_cell_length_c 11.7540
_cell_angle_alpha 90.00
_cell_angle_beta 130.84
_cell_angle_gamma 90.00
loop_
_symmetry_equiv_pos_as_xyz
'x,y,z'
'-x,-y,-z'
'-x,y,-z'
'x,-y,z'
'x+1/2,y+1/2,z'
'-x+1/2,-y+1/2,-z'
'-x+1/2,y+1/2,-z'
'x+1/2,-y+1/2,z'
loop_
_atom_site_label
_atom_site_fract_x
_atom_site_fract_y
_atom_site_fract_z
Hg1 0.0268 0.0000 0.2265
Hg2 0.2414 0.5000 0.2067
Sb1 0.2316 0.0000 0.3990
I1 0.1053 0.5000 0.8015
Cl1 0.0000 0.5000 0.0000
```

=====

(3)
LaRu2W: calculated powder X-ray diffraction pattern (λ = 1.5418 Å (Cu Kα)), based on a GGA-PBE-relaxed structure.

Largest 8 diffraction maxima, sorted by position, 2θ from 5° to 70°:
d 7.587, 2θ = 11.7°, rel. 24, (0 0 1)
d 3.794, 2θ = 23.5°, rel. 9, (0 0 2)
d 2.413, 2θ = 37.3°, rel. 100, (1 0 2)
d 2.211, 2θ = 40.8°, rel. 47, (1 1 0)
d 1.966, 2θ = 46.2°, rel. 12, (1 0 3)
d 1.622, 2θ = 56.8°, rel. 11, (1 0 4)
d 1.566, 2θ = 59.0°, rel. 8, (0 2 0)
d 1.440, 2θ = 64.8°, rel. 11, (1 1 4)

Structural model:
```
data_LaRu2W
_chemical_formula_sum 'La1 Ru2 W1'
_symmetry_space_group_name_H-M 'P m m m'
_symmetry_Int_Tables_number 47
_cell_length_a 3.1214
_cell_length_b 3.1314
_cell_length_c 7.5872
_cell_angle_alpha 90.00
_cell_angle_beta 90.00
_cell_angle_gamma 90.00
loop_
_symmetry_equiv_pos_as_xyz
'x,y,z'
'-x,-y,-z'
'-x,-y,z'
'x,y,-z'
'x,-y,-z'
'-x,y,z'
'-x,y,-z'
'x,-y,z'
loop_
_atom_site_label
_atom_site_fract_x
_atom_site_fract_y
_atom_site_fract_z
La1 0.0000 0.0000 0.0000
Ru1 0.5000 0.5000 0.3067
W1 0.0000 0.0000 0.5000
```

=====

(4)
Tb2HoAl9: calculated powder X-ray diffraction pattern (λ = 1.5418 Å (Cu Kα)), based on a GGA-PBE-relaxed structure.

Largest 8 diffraction maxima, sorted by position, 2θ from 5° to 70°:
d 4.263, 2θ = 20.8°, rel. 92, (1 0 0)
d 3.014, 2θ = 29.6°, rel. 78, (1 1 0)
d 2.461, 2θ = 36.5°, rel. 100, (1 1 3)
d 2.131, 2θ = 42.4°, rel. 49, (2 0 0)
d 1.906, 2θ = 47.7°, rel. 43, (2 1 0)
d 1.740, 2θ = 52.6°, rel. 32, (2 1 3)
d 1.507, 2θ = 61.5°, rel. 33, (2 2 0)
d 1.421, 2θ = 65.7°, rel. 21, (3 0 0)

Structural model:
```
data_Tb2HoAl9
_chemical_formula_sum 'Tb2 Ho1 Al9'
_symmetry_space_group_name_H-M 'P 4/m m m'
_symmetry_Int_Tables_number 123
_symmetry_space_group_name_Hall '-P 4 2'
_cell_length_a 4.2631
_cell_length_b 4.2631
_cell_length_c 12.7866
_cell_angle_alpha 90.00
_cell_angle_beta 90.00
_cell_angle_gamma 90.00
loop_
_atom_site_label
_atom_site_fract_x
_atom_site_fract_y
_atom_site_fract_z
Tb1 0.0000 0.0000 0.1673
Ho1 0.0000 0.0000 0.5000
Al1 0.0000 0.5000 0.0000
Al2 0.0000 0.5000 0.3345
Al3 0.5000 0.5000 0.1670
Al4 0.5000 0.5000 0.5000
```

=====

(5)
CeMgNbN3: calculated powder X-ray diffraction pattern (λ = 1.5418 Å (Cu Kα)), based on a GGA-PBE-relaxed structure.

Largest 8 diffraction maxima, sorted by position, 2θ from 5° to 70°:
d 8.100, 2θ = 10.9°, rel. 87, (0 0 1)
d 4.050, 2θ = 21.9°, rel. 37, (0 0 2)
d 2.848, 2θ = 31.4°, rel. 63, (1 1 0)
d 2.700, 2θ = 33.2°, rel. 32, (0 0 3)
d 2.678, 2θ = 33.5°, rel. 32, (2 0 -2)
d 2.565, 2θ = 35.0°, rel. 71, (1 1 1)
d 2.521, 2θ = 35.6°, rel. 100, (1 1 -2)
d 2.395, 2θ = 37.6°, rel. 36, (2 0 1)

Structural model:
```
data_CeMgNbN3
_chemical_formula_sum 'Ce2 Mg2 Nb2 N6'
_symmetry_space_group_name_H-M 'P 1 21/m 1'
_symmetry_Int_Tables_number 11
_cell_length_a 5.7637
_cell_length_b 3.3296
_cell_length_c 8.4892
_cell_angle_alpha 90.00
_cell_angle_beta 107.41
_cell_angle_gamma 90.00
loop_
_symmetry_equiv_pos_as_xyz
'x,y,z'
'-x,-y,-z'
'-x,y+1/2,-z'
'x,-y+1/2,z'
loop_
_atom_site_label
_atom_site_fract_x
_atom_site_fract_y
_atom_site_fract_z
Ce1 0.1745 0.2500 0.1988
Mg1 0.2720 0.7500 0.5444
Nb1 0.3458 0.2500 0.8569
N1 0.0240 0.2500 0.6761
N2 0.2457 0.7500 0.9823
N3 0.4885 0.7500 0.3352
```

=====

(6)
TaTc4W: calculated powder X-ray diffraction pattern (λ = 1.5418 Å (Cu Kα)), based on a GGA-PBE-relaxed structure.

Largest 7 diffraction maxima, sorted by position, 2θ from 5° to 70°:
d 4.179, 2θ = 21.3°, rel. 2, (1 1 1)
d 2.559, 2θ = 35.1°, rel. 49, (2 2 0)
d 2.182, 2θ = 41.4°, rel. 100, (3 1 1)
d 2.089, 2θ = 43.3°, rel. 23, (2 2 2)
d 1.660, 2θ = 55.3°, rel. 1, (3 3 1)
d 1.477, 2θ = 62.9°, rel. 18, (4 2 2)
d 1.393, 2θ = 67.2°, rel. 31, (5 1 1)

Structural model:
```
data_TaTc4W
_chemical_formula_sum 'Ta4 Tc16 W4'
_symmetry_space_group_name_H-M 'F -4 3 m'
_symmetry_Int_Tables_number 216
_symmetry_space_group_name_Hall 'F -4 2 3'
_cell_length_a 7.2376
_cell_length_b 7.2376
_cell_length_c 7.2376
_cell_angle_alpha 90.00
_cell_angle_beta 90.00
_cell_angle_gamma 90.00
loop_
_atom_site_label
_atom_site_fract_x
_atom_site_fract_y
_atom_site_fract_z
Ta1 0.0000 0.0000 0.0000
Tc1 0.1255 0.1255 0.6255
W1 0.2500 0.2500 0.2500
```

=====

(7)
Pr2HoBi3: calculated powder X-ray diffraction pattern (λ = 1.5418 Å (Cu Kα)), based on a GGA-PBE-relaxed structure.

Largest 8 diffraction maxima, sorted by position, 2θ from 5° to 70°:
d 3.743, 2θ = 23.8°, rel. 5, (1 1 0)
d 3.241, 2θ = 27.5°, rel. 100, (0 2 0)
d 2.292, 2θ = 39.3°, rel. 78, (2 0 0)
d 1.955, 2θ = 46.5°, rel. 3, (1 3 0)
d 1.871, 2θ = 48.7°, rel. 29, (2 2 0)
d 1.621, 2θ = 56.8°, rel. 13, (0 4 0)
d 1.450, 2θ = 64.3°, rel. 31, (3 0 3)
d 1.448, 2θ = 64.3°, rel. 6, (1 0 9)

Structural model:
```
data_Pr2HoBi3
_chemical_formula_sum 'Pr4 Ho2 Bi6'
_symmetry_space_group_name_H-M 'I m m m'
_symmetry_Int_Tables_number 71
_symmetry_space_group_name_Hall '-I 2 2'
_cell_length_a 4.5845
_cell_length_b 6.4874
_cell_length_c 13.7370
_cell_angle_alpha 90.00
_cell_angle_beta 90.00
_cell_angle_gamma 90.00
loop_
_atom_site_label
_atom_site_fract_x
_atom_site_fract_y
_atom_site_fract_z
Pr1 0.0000 0.0000 0.1685
Ho1 0.0000 0.0000 0.5000
Bi1 0.0000 0.5000 0.1602
Bi2 0.0000 0.5000 0.5000
```

=====

(8)
MgUGe: calculated powder X-ray diffraction pattern (λ = 1.5418 Å (Cu Kα)), based on a GGA-PBE-relaxed structure.

Largest 8 diffraction maxima, sorted by position, 2θ from 5° to 70°:
d 6.217, 2θ = 14.2°, rel. 100, (0 0 2)
d 3.333, 2θ = 26.7°, rel. 73, (0 2 2)
d 2.533, 2θ = 35.4°, rel. 50, (2 0 2)
d 2.442, 2θ = 36.8°, rel. 61, (0 2 4)
d 2.269, 2θ = 39.7°, rel. 42, (2 2 0)
d 2.132, 2θ = 42.4°, rel. 44, (2 2 2)
d 2.070, 2θ = 43.7°, rel. 40, (2 0 4)
d 1.429, 2θ = 65.3°, rel. 31, (2 4 4)

Structural model:
```
data_MgUGe
_chemical_formula_sum 'Mg8 U8 Ge8'
_symmetry_space_group_name_H-M 'F m m m'
_symmetry_Int_Tables_number 69
_symmetry_space_group_name_Hall '-F 2 2'
_cell_length_a 5.5461
_cell_length_b 7.8985
_cell_length_c 12.4330
_cell_angle_alpha 90.00
_cell_angle_beta 90.00
_cell_angle_gamma 90.00
loop_
_atom_site_label
_atom_site_fract_x
_atom_site_fract_y
_atom_site_fract_z
Mg1 0.0000 0.1798 0.0000
U1 0.2500 0.2500 0.2500
Ge1 0.0000 0.0000 0.3923
```

=====

(9)
Ba2TmAg2O6: calculated powder X-ray diffraction pattern (λ = 1.5418 Å (Cu Kα)), based on a GGA-PBE-relaxed structure.

Largest 8 diffraction maxima, sorted by position, 2θ from 5° to 70°:
d 3.164, 2θ = 28.2°, rel. 100, (1 1 0)
d 2.960, 2θ = 30.2°, rel. 74, (0 1 5)
d 2.162, 2θ = 41.8°, rel. 34, (2 0 5)
d 1.827, 2θ = 49.9°, rel. 20, (3 0 0)
d 1.785, 2θ = 51.2°, rel. 38, (1 2 5)
d 1.663, 2θ = 55.3°, rel. 11, (1 1 9)
d 1.582, 2θ = 58.3°, rel. 17, (2 2 0)
d 1.395, 2θ = 67.1°, rel. 15, (3 1 5)

Structural model:
```
data_Ba2TmAg2O6
_chemical_formula_sum 'Ba6 Tm3 Ag6 O18'
_symmetry_space_group_name_H-M 'R -3 m'
_symmetry_Int_Tables_number 166
_symmetry_space_group_name_Hall '-R 3 2"'
_cell_length_a 6.3284
_cell_length_b 6.3284
_cell_length_c 17.5865
_cell_angle_alpha 90.00
_cell_angle_beta 90.00
_cell_angle_gamma 120.00
loop_
_atom_site_label
_atom_site_fract_x
_atom_site_fract_y
_atom_site_fract_z
Ba1 0.0000 0.0000 0.2111
Tm1 0.0000 0.0000 0.0000
Ag1 0.0000 0.0000 0.4169
O1 0.0407 0.5204 0.7540
```

=====

(10)
HoEr5Ga6: calculated powder X-ray diffraction pattern (λ = 1.5418 Å (Cu Kα)), based on a GGA-PBE-relaxed structure.

Largest 8 diffraction maxima, sorted by position, 2θ from 5° to 70°:
d 3.540, 2θ = 25.2°, rel. 18, (1 3 0)
d 2.503, 2θ = 35.9°, rel. 100, (2 0 0)
d 2.044, 2θ = 44.3°, rel. 5, (2 0 2)
d 1.771, 2θ = 51.6°, rel. 12, (2 6 0)
d 1.767, 2θ = 51.7°, rel. 6, (0 0 4)
d 1.584, 2θ = 58.2°, rel. 5, (3 3 0)
d 1.581, 2θ = 58.4°, rel. 3, (1 3 4)
d 1.445, 2θ = 64.5°, rel. 36, (3 3 2)

Structural model:
```
data_HoEr5Ga6
_chemical_formula_sum 'Ho2 Er10 Ga12'
_symmetry_space_group_name_H-M 'C m m m'
_symmetry_Int_Tables_number 65
_symmetry_space_group_name_Hall '-C 2 2'
_cell_length_a 5.0106
_cell_length_b 15.0304
_cell_length_c 7.0688
_cell_angle_alpha 90.00
_cell_angle_beta 90.00
_cell_angle_gamma 90.00
loop_
_atom_site_label
_atom_site_fract_x
_atom_site_fract_y
_atom_site_fract_z
Ho1 0.0000 0.0000 0.0000
Er1 0.0000 0.0000 0.5000
Er2 0.0000 0.3331 0.0000
Er3 0.0000 0.3337 0.5000
Ga1 0.0000 0.1670 0.2507
Ga2 0.0000 0.5000 0.2505
```